Record 1
The following is a calculated X-ray diffraction stick pattern of MgCrGe2O6. It was derived from DFT lattice parameters and positions (PBE+U), using Cu Ka.
No peak broadening, texture or thermal motion is included.

Structural model:
```
MgCrGe2O6
1.0
4.9118 -4.5096 0.0000
4.9118 4.5096 0.0000
-0.6991 0.0000 5.2664
Mg Cr Ge O
2 2 4 12
direct
0.2291 0.7709 0.7500
0.7709 0.2291 0.2500
0.4108 0.5892 0.2500
0.5892 0.4108 0.7500
0.1018 0.2904 0.7775
0.2904 0.1018 0.2775
0.7096 0.8982 0.7225
0.8982 0.7096 0.2225
0.0664 0.2088 0.0913
0.1280 0.6460 0.3884
0.2088 0.0664 0.5913
0.2836 0.4688 0.8395
0.3540 0.8720 0.1116
0.4688 0.2836 0.3395
0.5312 0.7164 0.6605
0.6460 0.1280 0.8884
0.7164 0.5312 0.1605
0.7912 0.9336 0.4087
0.8720 0.3540 0.6116
0.9336 0.7912 0.9087
```

Peak list (10 most intense, 10° ≤ 2θ ≤ 80°, by angle)
two_theta  d (Å)  I (rel.)
26.0  3.425  51
29.2  3.054  100
30.6  2.922  73
33.2  2.695  91
34.0  2.633  64
35.0  2.564  58
42.5  2.129  30
57.1  1.612  42
60.8  1.524  31
61.2  1.514  42

Record 2
The following is a calculated X-ray diffraction stick pattern of BaNdMgCo2O5. It was derived from DFT lattice parameters and positions (PBE+U), using Cu Ka.
No peak broadening, texture or thermal motion is included.

Structural model:
```
BaNdMgCo2O5
1.0
3.5961 0.0000 0.0000
0.0000 4.1019 0.0000
0.0000 0.0000 10.4807
Ba Nd Mg Co O
1 1 1 2 5
direct
0.0000 0.0000 0.0000
0.0000 0.0000 0.3665
0.0000 0.0000 0.6536
0.5000 0.5000 0.1855
0.5000 0.5000 0.7912
0.0000 0.5000 0.2683
0.0000 0.5000 0.7149
0.5000 0.0000 0.2066
0.5000 0.0000 0.5227
0.5000 0.5000 0.9785
```

Peak list (10 most intense, 10° ≤ 2θ ≤ 80°, by angle)
two_theta  d (Å)  I (rel.)
27.6  3.230  73
30.1  2.965  39
33.1  2.704  100
33.7  2.660  69
35.8  2.506  97
42.3  2.138  38
44.2  2.051  40
55.5  1.657  44
58.1  1.587  45
63.4  1.467  27

Record 3
The following is a calculated X-ray diffraction stick pattern of MgV4O5F7. It was derived from DFT lattice parameters and positions (PBE+U), using Cu Ka.
No peak broadening, texture or thermal motion is included.

Structural model:
```
MgV4O5F7
1.0
5.1413 0.0000 0.0000
0.2049 5.4761 0.0000
0.0739 0.3640 7.5689
Mg V O F
1 4 5 7
direct
0.0000 0.0000 0.0000
0.4808 0.8971 0.7019
0.5116 0.9127 0.2234
0.9491 0.4063 0.2242
0.9656 0.4029 0.7286
0.1937 0.0777 0.7752
0.6971 0.6035 0.2619
0.7495 0.6875 0.6698
0.8064 0.0993 0.2358
0.8964 0.3847 0.9539
0.0819 0.3914 0.4695
0.1866 0.7282 0.1376
0.2688 0.5977 0.7587
0.2796 0.2083 0.1473
0.3588 0.9088 0.4592
0.6315 0.8990 0.9589
0.6839 0.1941 0.6522
```

Peak list (10 most intense, 10° ≤ 2θ ≤ 80°, by angle)
two_theta  d (Å)  I (rel.)
23.3  3.816  100
23.5  3.784  90
24.2  3.678  91
32.7  2.738  47
33.5  2.673  23
39.7  2.271  25
47.7  1.908  23
48.1  1.892  24
49.6  1.839  20
53.9  1.700  28